Simulated powder diffractogram of Y4OsF4 for Cu Kα (λ = 1.5418 Å), from a DFT-relaxed cell (PBE, OQMD).
Neutral-atom scattering factors, no anomalous dispersion.

Largest 10 diffraction maxima, low angle first, 10 to 90 degrees two-theta:
7.492 Å, intensity 100.0, (1 1 0)
2.983 Å, intensity 8.8, (3 1 -1)
2.955 Å, intensity 8.4, (3 1 1)
2.942 Å, intensity 13.1, (1 3 1)
2.702 Å, intensity 11.6, (0 2 2)
2.420 Å, intensity 14.4, (2 2 -2)
2.402 Å, intensity 13.2, (2 2 2)
2.379 Å, intensity 10.5, (4 2 0)
2.360 Å, intensity 9.7, (2 4 0)
2.291 Å, intensity 17.5, (1 3 -2)

Structural model:
```
data_Y4OsF4
_cell_length_a 10.6683
_cell_length_b 10.5246
_cell_length_c 6.2996
_cell_angle_alpha 90.00
_cell_angle_beta 90.62
_cell_angle_gamma 90.00
_symmetry_space_group_name_H-M 'C 1 2/c 1'
_symmetry_Int_Tables_number 15
loop_
_symmetry_equiv_pos_as_xyz
'x,y,z'
'-x,-y,-z'
'-x,y,-z+1/2'
'x,-y,z+1/2'
'x+1/2,y+1/2,z'
'-x+1/2,-y+1/2,-z'
'-x+1/2,y+1/2,-z+1/2'
'x+1/2,-y+1/2,z+1/2'
loop_
_atom_site_label
_atom_site_type_symbol
_atom_site_fract_x
_atom_site_fract_y
_atom_site_fract_z
Y1 Y 0.0764 0.2107 0.0186
Y2 Y 0.2087 0.0754 0.4921
Os1 Os 0.0000 0.0133 0.7500
F1 F 0.1210 0.2997 0.3904
F2 F 0.2000 0.3811 0.9145
```